[1]
For Ba2MgFeWO6, the GGA+U geometry in the Materials Project gives the computed powder diffractogram in this record (Cu Ka).
Peak positions follow from Bragg's law for the DFT cell and can differ from measured ones.

Crystal structure
```
Ba2MgFeWO6
1.0
5.7032 0.0000 0.0000
-0.0120 5.8552 0.0000
-2.8381 -2.8728 5.3818
Ba Mg Fe W O
2 1 1 1 6
Cartesian
0.0000 0.0000 0.0000
0.0034 0.0401 3.9903
2.8470 2.9509 1.9954
-0.0026 2.9504 1.9919
2.8535 0.0235 1.9950
1.4259 1.5645 1.9663
1.4249 4.3382 2.0247
0.0032 2.9651 5.3137
2.8541 0.0516 4.0592
4.2698 1.5637 1.9661
4.2717 4.3348 2.0239
```

Most intense lines, 2θ from 10° to 90°, in order of rising 2θ:
hkl	2θ (°)	I_rel
0 1 0	17.17	46
0 1 -1	17.32	45
1 1 0	27.31	100
1 1 -2	27.50	99
1 0 1	29.38	52
1 0 -2	29.43	40
0 2 -1	30.54	68
2 0 -1	31.37	63
1 2 0	42.72	30
2 2 -2	44.35	76

[2]
For Li2NiSnO4, the GGA+U geometry in the Materials Project gives the computed powder diffractogram in this record (Cu Ka).
Peak positions follow from Bragg's law for the DFT cell and can differ from measured ones.

Crystal structure
```
Li2NiSnO4
1.0
4.2343 0.0000 0.0000
0.0000 4.2343 0.0000
0.0000 0.0000 8.8967
Li Ni Sn O
4 2 2 8
Cartesian
0.0000 0.0000 0.0000
0.0000 2.1171 2.2242
2.1171 0.0000 6.6725
2.1171 2.1171 4.4484
0.0000 0.0000 4.4484
2.1171 2.1171 0.0000
0.0000 2.1171 6.6725
2.1171 0.0000 2.2242
0.0000 0.0000 2.3407
0.0000 0.0000 6.5561
0.0000 2.1171 4.6320
0.0000 2.1171 8.7131
2.1171 0.0000 0.1837
2.1171 0.0000 4.2647
2.1171 2.1171 2.1077
2.1171 2.1171 6.7890
```

Most intense lines, 2θ from 10° to 90°, in order of rising 2θ:
hkl	2θ (°)	I_rel
1 0 1	23.27	100
1 1 2	36.16	31
1 0 3	37.01	22
0 0 4	40.56	21
2 0 0	42.71	37
2 1 1	49.19	27
1 0 5	56.06	11
2 1 3	57.77	13
2 0 4	60.36	24
2 2 0	61.99	11

[3]
For SrPrMnO4, the GGA+U geometry in the Materials Project gives the computed powder diffractogram in this record (Cu Ka).
Peak positions follow from Bragg's law for the DFT cell and can differ from measured ones.

Crystal structure
```
SrPrMnO4
1.0
3.8668 0.0000 0.0000
0.0000 3.8668 0.0000
0.0000 0.0000 12.8535
Sr Pr Mn O
2 2 2 8
Cartesian
0.0000 0.0000 0.0000
1.9334 1.9334 6.4268
0.0000 0.0000 9.1710
1.9334 1.9334 2.7442
0.0000 0.0000 4.6080
1.9334 1.9334 11.0347
0.0000 0.0000 2.4120
0.0000 0.0000 6.8251
0.0000 1.9334 4.4685
0.0000 1.9334 10.8952
1.9334 0.0000 4.4685
1.9334 0.0000 10.8952
1.9334 1.9334 0.3983
1.9334 1.9334 8.8388
```

Most intense lines, 2θ from 10° to 90°, in order of rising 2θ:
hkl	2θ (°)	I_rel
1 0 1	24.03	24
1 0 3	31.16	100
1 1 0	32.75	67
0 0 6	42.20	28
1 1 4	43.46	29
2 0 0	47.00	35
1 1 6	54.41	17
1 0 7	55.42	17
2 1 3	57.47	36
2 0 6	64.98	21